Diffraction record for Li5VP2O9. The X-ray diffraction stick pattern is simulated, not measured: it uses a crystal structure in Alexandria, relaxed with PBE+U and Cu Kα.

Largest 10 diffraction maxima, by angle, 2θ = 5–70°:
| (hkl) | 2theta | d_spacing | I_rel |
| --- | --- | --- | --- |
| 1 1 0 | 13.4 | 6.617 | 100 |
| 0 0 2 | 22.4 | 3.969 | 63 |
| 2 1 1 | 24.0 | 3.702 | 76 |
| 1 1 2 | 26.2 | 3.404 | 54 |
| 2 2 0 | 26.9 | 3.308 | 68 |
| 3 1 0 | 30.2 | 2.959 | 54 |
| 2 2 2 | 35.3 | 2.541 | 52 |
| 4 1 1 | 41.4 | 2.182 | 51 |
| 0 0 4 | 45.7 | 1.985 | 21 |
| 1 1 4 | 47.9 | 1.901 | 20 |

Crystal structure
a b c (Å): 9.358 9.358 7.938
angles (deg): 90.00 90.00 90.00
Space group I4/mcm (No. 140)
Unique sites:
Li: 0.000 0.225 0.250 [16 per cell]
Li: 0.000 0.500 0.250 [4 per cell]
V: 0.000 0.000 0.000 [4 per cell]
P: 0.207 0.293 0.000 [8 per cell]
O: 0.000 0.000 0.250 [4 per cell]
O: 0.128 0.181 0.500 [16 per cell]
O: 0.140 0.360 0.160 [16 per cell]